# 1
Starting from a cell relaxed with PBE, the powder diffraction line list of Cu2BiAsO6 was computed for copper Kα.

Crystal structure
a = 12.3711 Å, b = 5.2861 Å, c = 7.9722 Å
α = 90.00°, β = 90.00°, γ = 90.00°
Fractional coordinates of all 40 atoms:
Cu (0.1324, 0.2500, 0.2308)
Cu (0.1965, 0.7500, 0.4634)
Cu (0.3035, 0.2500, 0.9634)
Cu (0.3676, 0.7500, 0.7308)
Cu (0.6324, 0.2500, 0.2692)
Cu (0.6965, 0.7500, 0.0366)
Cu (0.8035, 0.2500, 0.5366)
Cu (0.8676, 0.7500, 0.7692)
Bi (0.0560, 0.2500, 0.6489)
Bi (0.4440, 0.7500, 0.1489)
Bi (0.5560, 0.2500, 0.8511)
Bi (0.9440, 0.7500, 0.3511)
As (0.1263, 0.7500, 0.9870)
As (0.3737, 0.2500, 0.4870)
As (0.6263, 0.7500, 0.5130)
As (0.8737, 0.2500, 0.0130)
O (0.0017, 0.7500, 0.0774)
O (0.0912, 0.5018, 0.3961)
O (0.0912, 0.9982, 0.3961)
O (0.1202, 0.7500, 0.7735)
O (0.2000, 0.0099, 0.0670)
O (0.2000, 0.4901, 0.0670)
O (0.3000, 0.5099, 0.5670)
O (0.3000, 0.9901, 0.5670)
O (0.3798, 0.2500, 0.2735)
O (0.4088, 0.0018, 0.8961)
O (0.4088, 0.4982, 0.8961)
O (0.4983, 0.2500, 0.5774)
O (0.5017, 0.7500, 0.4226)
O (0.5912, 0.5018, 0.1039)
O (0.5912, 0.9982, 0.1039)
O (0.6202, 0.7500, 0.7265)
O (0.7000, 0.0099, 0.4330)
O (0.7000, 0.4901, 0.4330)
O (0.8000, 0.5099, 0.9330)
O (0.8000, 0.9901, 0.9330)
O (0.8798, 0.2500, 0.2265)
O (0.9088, 0.0018, 0.6039)
O (0.9088, 0.4982, 0.6039)
O (0.9983, 0.2500, 0.9226)

Peak list (10 most intense, 2θ from 10° to 80°, in order of falling intensity)
29.0 deg, d = 3.082 Å, I = 100
29.7 deg, d = 3.011 Å, I = 85
31.6 deg, d = 2.830 Å, I = 80
33.9 deg, d = 2.643 Å, I = 60
24.8 deg, d = 3.588 Å, I = 58
33.6 deg, d = 2.669 Å, I = 53
13.2 deg, d = 6.701 Å, I = 37
31.0 deg, d = 2.883 Å, I = 37
46.8 deg, d = 1.943 Å, I = 34
34.5 deg, d = 2.598 Å, I = 34

=====

# 2
Starting from a cell relaxed with PBE, the powder diffraction line list of Pm12HoTm5 was computed for copper Kα.

Crystal structure
a = 10.5542 Å, b = 10.5542 Å, c = 5.9386 Å
α = 90.01°, β = 90.01°, γ = 115.94°
Fractional coordinates of all 18 atoms:
Pm (0.0093, 0.6719, 0.9988)
Pm (0.1626, 0.1626, 0.4991)
Pm (0.1722, 0.5081, 0.5011)
Pm (0.3281, 0.9907, 0.0012)
Pm (0.3374, 0.3374, 0.9991)
Pm (0.4919, 0.8278, 0.4989)
Pm (0.5081, 0.1722, 0.5011)
Pm (0.6626, 0.6626, 0.0009)
Pm (0.6719, 0.0093, 0.9988)
Pm (0.8278, 0.4919, 0.4989)
Pm (0.8374, 0.8374, 0.5009)
Pm (0.9907, 0.3281, 0.0012)
Ho (0.0000, 0.0000, 0.0000)
Tm (0.1650, 0.8350, 0.5000)
Tm (0.3355, 0.6645, 0.0000)
Tm (0.5000, 0.5000, 0.5000)
Tm (0.6645, 0.3355, 0.0000)
Tm (0.8350, 0.1650, 0.5000)

Peak list (10 most intense, 2θ from 10° to 80°, in order of falling intensity)
32.1 deg, d = 2.792 Å, I = 100
30.0 deg, d = 2.983 Å, I = 30
30.1 deg, d = 2.969 Å, I = 30
43.0 deg, d = 2.104 Å, I = 23
54.5 deg, d = 1.683 Å, I = 22
54.7 deg, d = 1.678 Å, I = 22
58.4 deg, d = 1.581 Å, I = 13
67.0 deg, d = 1.396 Å, I = 12
71.9 deg, d = 1.313 Å, I = 10
48.8 deg, d = 1.866 Å, I = 8